The following is a simulated powder XRD pattern of Na3FeO4. It was derived from a cell relaxed with PBE+U, using Cu Kα, 1.54184 Å.
Lines closer than 0.1° are merged.

Peak list (10 most intense, 15 to 90 degrees two-theta, most intense first)
20.47 deg, I = 100
35.12 deg, I = 57
32.46 deg, I = 46
33.57 deg, I = 42
41.86 deg, I = 40
44.11 deg, I = 26
21.64 deg, I = 22
60.65 deg, I = 21
37.87 deg, I = 17
40.06 deg, I = 16

Crystal structure
```
32
Lattice="7.0279 0.0000 0.0000 0.0000 8.2115 0.0000 0.0000 0.0000 7.4457" Properties=species:S:1:pos:R:3 pbc="T T T"
Na 0.3048 0.3033 1.7117
Na 0.3048 3.8024 1.7117
Na 1.2075 6.1587 3.3614
Na 2.3064 2.0529 7.0842
Na 3.2091 4.4091 5.4345
Na 3.2091 7.9082 5.4345
Na 3.8188 0.3033 2.0112
Na 3.8188 3.8024 2.0112
Na 4.7215 6.1587 0.3615
Na 5.8204 2.0529 4.0843
Na 6.7231 4.4091 5.7340
Na 6.7231 7.9082 5.7340
Fe 1.5229 6.1587 7.4218
Fe 1.9911 2.0529 3.6989
Fe 5.0368 6.1587 3.7468
Fe 5.5050 2.0529 0.0239
O 7.0272 2.0529 6.6104
O 0.0007 6.1587 0.8353
O 1.2622 0.5085 4.0597
O 1.2622 3.5973 4.0597
O 1.3956 6.1587 5.6653
O 2.1184 2.0529 1.9424
O 2.2518 4.6143 0.3368
O 2.2518 7.7030 0.3368
O 3.5133 2.0529 4.5582
O 3.5146 6.1587 2.8876
O 4.7762 0.5085 7.1089
O 4.7762 3.5973 7.1089
O 4.9095 6.1587 5.5033
O 5.6324 2.0529 1.7804
O 5.7657 4.6143 3.3860
O 5.7657 7.7030 3.3860
```

=====

The following is a simulated powder XRD pattern of Na3Fe5O9. It was derived from a cell relaxed with PBE+U, using Cu Kα, 1.54184 Å.
Lines closer than 0.1° are merged.

Peak list (10 most intense, 15 to 90 degrees two-theta, most intense first)
29.95 deg, I = 100
33.10 deg, I = 84
33.54 deg, I = 72
34.19 deg, I = 59
34.47 deg, I = 57
21.88 deg, I = 46
52.08 deg, I = 44
62.92 deg, I = 28
45.47 deg, I = 25
59.41 deg, I = 25

Crystal structure
```
34
Lattice="6.8243 -6.1450 0.0000 6.8243 6.1450 0.0000 -0.0582 0.0000 5.4121" Properties=species:S:1:pos:R:3 pbc="T T T"
Na 6.7807 5.0247 4.0591
Na 3.5244 0.9585 1.2774
Na 3.4953 -0.9585 3.9835
Na 10.0951 0.9585 1.4286
Na 10.0660 -0.9585 4.1347
Na 6.8097 -5.0247 1.3530
Fe 5.2290 3.9168 1.1636
Fe 4.8735 1.9699 3.8852
Fe 8.3905 3.9168 1.5424
Fe 6.8097 0.7853 1.3530
Fe 8.6878 1.9699 4.2329
Fe 4.9026 -1.9699 1.1792
Fe 6.7807 -0.7853 4.0591
Fe 5.1999 -3.9168 3.8697
Fe 8.7169 -1.9699 1.5269
Fe 8.3614 -3.9168 4.2485
O 4.9503 3.6738 4.6963
O 6.8097 4.9739 1.3530
O 3.0872 1.3157 3.6525
O 5.4930 2.2242 2.0600
O 8.6110 3.6738 3.4218
O 3.1163 -1.3157 0.9464
O 5.6548 0.6421 5.0285
O 8.1265 2.2242 0.6461
O 5.6839 -0.6421 2.3225
O 7.9066 0.6421 3.0896
O 5.4639 -2.2242 4.7660
O 7.9356 -0.6421 0.3835
O 10.4741 1.3157 4.4657
O 4.9794 -3.6738 1.9902
O 8.0974 -2.2242 3.3521
O 10.5032 -1.3157 1.7596
O 6.7807 -4.9739 4.0591
O 8.6401 -3.6738 0.7158
```

=====

The following is a simulated powder XRD pattern of Na4FeO5. It was derived from a cell relaxed with PBE+U, using Cu Kα, 1.54184 Å.
Lines closer than 0.1° are merged.

Peak list (10 most intense, 15 to 90 degrees two-theta, most intense first)
16.63 deg, I = 100
38.99 deg, I = 99
38.75 deg, I = 96
39.78 deg, I = 94
34.24 deg, I = 45
17.31 deg, I = 41
56.58 deg, I = 27
54.83 deg, I = 27
32.98 deg, I = 25
57.43 deg, I = 25

Crystal structure
```
20
Lattice="5.6828 0.0000 0.0000 -1.2080 5.5831 0.0000 -2.8033 -2.3345 7.6752" Properties=species:S:1:pos:R:3 pbc="T T T"
Na 0.0000 0.0000 0.0000
Na -2.0057 1.6243 3.8376
Na -1.1833 4.6364 3.1117
Na -1.9605 0.6046 6.9328
Na 0.7726 2.0540 2.2473
Na 0.8988 1.1946 5.4279
Na 2.8548 -1.3878 4.5635
Na 3.6320 2.6440 0.7423
Fe -1.1583 3.6532 6.1926
Fe 2.8298 -0.4047 1.4826
O -2.6962 2.5908 5.8200
O -0.7523 -0.4919 5.2994
O 0.1205 4.0109 1.2063
O -0.3376 2.9570 4.6552
O 2.0742 0.9617 0.2858
O -0.4027 2.2869 7.3893
O 2.0090 0.2916 3.0200
O 1.5509 -0.7623 6.4689
O 2.4238 3.7405 2.3757
O 4.3676 0.6577 1.8551
```

=====

The following is a simulated powder XRD pattern of Na4FeO5. It was derived from a cell relaxed with PBE+U, using Cu Kα, 1.54184 Å.
Lines closer than 0.1° are merged.

Peak list (10 most intense, 15 to 90 degrees two-theta, most intense first)
38.32 deg, I = 100
16.97 deg, I = 64
33.13 deg, I = 51
22.41 deg, I = 48
38.69 deg, I = 46
55.57 deg, I = 36
55.33 deg, I = 28
66.08 deg, I = 13
66.52 deg, I = 12
55.67 deg, I = 11

Crystal structure
```
40
Lattice="7.3619 -4.7028 0.0000 7.3619 4.7028 0.0000 -7.3346 0.0000 7.4152" Properties=species:S:1:pos:R:3 pbc="T T T"
Na -0.7442 2.3398 5.2616
Na -1.5311 0.0000 2.9229
Na 5.2264 2.3491 0.7716
Na -2.9129 -0.0044 5.8776
Na 2.9274 -0.0212 1.5494
Na 2.1628 2.3491 6.6435
Na 1.5568 -0.0278 4.4794
Na 8.1333 2.3398 2.1536
Na -0.7366 -2.3731 5.2462
Na 5.8324 -0.0278 2.9358
Na 5.2198 -2.3769 0.7891
Na 4.4617 -0.0212 5.8657
Na 10.3020 -0.0044 1.5376
Na 2.1693 -2.3768 6.6261
Na 8.9203 0.0000 4.4923
Na 8.1258 -2.3731 2.1689
Fe 7.3619 -4.6981 0.0000
Fe 3.6946 2.3751 3.7076
Fe 7.3619 -0.0707 0.0000
Fe 3.6946 -2.3785 3.7076
O -5.5265 -0.0066 6.9030
O 3.1931 2.3443 1.9482
O 0.5146 -0.0021 1.8048
O 1.9372 2.3383 4.2124
O 7.3619 2.8209 0.0000
O 5.4519 2.3383 3.2028
O -0.4756 -0.0248 5.6563
O 4.1961 2.3443 5.4670
O 5.6045 -0.0182 0.5041
O 3.6946 -0.4875 3.7076
O 1.7847 -0.0182 6.9111
O 3.1754 -2.3748 1.9062
O 7.8648 -0.0248 1.7588
O 1.8869 -2.3696 4.2193
O 7.3619 -2.7875 0.0000
O 5.5023 -2.3696 3.1959
O 6.8745 -0.0021 5.6104
O 4.2137 -2.3748 5.5090
O 12.9157 -0.0066 0.5121
O 3.6946 -4.2875 3.7076
```

=====

The following is a simulated powder XRD pattern of Na3FeO4. It was derived from a cell relaxed with PBE+U, using Cu Kα, 1.54184 Å.
Lines closer than 0.1° are merged.

Peak list (10 most intense, 15 to 90 degrees two-theta, most intense first)
32.64 deg, I = 100
32.83 deg, I = 84
28.12 deg, I = 76
20.14 deg, I = 66
18.98 deg, I = 64
29.85 deg, I = 59
51.93 deg, I = 45
58.49 deg, I = 39
22.04 deg, I = 37
48.65 deg, I = 34

Crystal structure
```
16
Lattice="7.4855 0.0000 0.0000 0.0000 5.9863 0.0000 0.0000 0.0000 5.4559" Properties=species:S:1:pos:R:3 pbc="T T T"
Na 0.0000 0.9312 0.0000
Na 1.8245 1.9008 2.7641
Na 1.9183 4.0855 0.0362
Na 3.7428 5.0551 2.7279
Na 5.5672 4.0855 0.0362
Na 5.6611 1.9008 2.7641
Fe 0.0000 4.8678 2.8266
Fe 3.7428 1.1185 0.0987
O 0.0000 0.5460 2.3405
O 0.0000 4.8086 4.5472
O 1.5591 4.1812 2.3535
O 2.1836 1.8051 5.0814
O 3.7428 1.1777 1.8193
O 3.7428 5.4403 5.0685
O 5.3019 1.8051 5.0814
O 5.9264 4.1812 2.3535
```